(1)
The following is a theoretical X-ray diffraction stick pattern of Ba3Al8Au3. It was derived from DFT lattice parameters and positions (GGA-PBE), using CuKα.
No peak broadening, texture or thermal motion is included.

Structure:
Lattice parameters (Å, degrees): 9.1216 9.1216 9.1216 151.91 97.07 89.69
Fractional positions:
Ba: 0.0000 0.0000 0.0000
Ba: 0.3031 0.3031 0.0000
Ba: 0.6969 0.6969 0.0000
Al: 0.0016 0.6894 0.3122
Al: 0.1983 0.8946 0.3037
Al: 0.3772 0.6894 0.6878
Al: 0.4091 0.1054 0.3037
Al: 0.5909 0.8946 0.6963
Al: 0.6228 0.3106 0.3122
Al: 0.8017 0.1054 0.6963
Al: 0.9984 0.3106 0.6878
Au: 0.2554 0.5000 0.7554
Au: 0.5000 0.0000 0.5000
Au: 0.7446 0.5000 0.2446

Most intense lines, 2θ = 10–80°, by intensity:
2theta	I_rel
32.6	1000
25.9	770
13.7	476
29.6	395
10.0	281
43.2	277

=====

(2)
The following is a theoretical X-ray diffraction stick pattern of Th5ZrSc2. It was derived from DFT lattice parameters and positions (GGA-PBE), using CuKα.
No peak broadening, texture or thermal motion is included.

Structure:
Lattice parameters (Å, degrees): 6.6711 6.6711 6.8903 104.89 104.89 117.95
Fractional positions:
Th: 0.0000 0.0000 0.0000
Th: 0.0023 0.0023 0.5165
Th: 0.0972 0.5972 0.1960
Th: 0.5137 0.5137 0.5161
Th: 0.5972 0.0972 0.1960
Zr: 0.5021 0.5021 0.0034
Sc: 0.1086 0.5959 0.7061
Sc: 0.5959 0.1086 0.7061

Most intense lines, 2θ = 10–80°, by intensity:
2theta	I_rel
33.9	1000
31.3	274
30.0	254
57.4	230
43.9	182
21.5	163